Theoretical XRD peak list of DyHoMn4 for Cu Ka, from the GGA-PBE geometry in the Materials Project.

Largest 10 diffraction maxima, by angle, 15° ≤ 2θ ≤ 90°:
2θ 21.22, I = 20
2θ 35.00, I = 71
2θ 41.30, I = 100
2θ 43.22, I = 12
2θ 55.22, I = 6
2θ 62.78, I = 26
2θ 67.07, I = 30
2θ 73.95, I = 22
2θ 84.51, I = 12
2θ 88.41, I = 11

a b c (Å): 5.127 5.127 5.127
angles (deg): 60.00 60.00 60.00
Fractional positions:
Dy (0.000, 0.000, 0.000)
Ho (0.250, 0.250, 0.250)
Mn (0.125, 0.625, 0.625)
Mn (0.625, 0.125, 0.625)
Mn (0.625, 0.625, 0.125)
Mn (0.625, 0.625, 0.625)

=====

Theoretical XRD peak list of UTaN2 for Cu Ka, from the GGA-PBE geometry in the Materials Project.

Largest 10 diffraction maxima, by angle, 15° ≤ 2θ ≤ 90°:
2θ 31.72, I = 12
2θ 32.37, I = 29
2θ 32.77, I = 27
2θ 32.94, I = 15
2θ 35.90, I = 100
2θ 40.25, I = 16
2θ 40.40, I = 12
2θ 57.29, I = 19
2θ 60.05, I = 13
2θ 67.26, I = 14

a b c (Å): 5.641 3.233 11.063
angles (deg): 90.00 90.00 90.00
Fractional positions:
U (0.079, 0.250, 0.143)
U (0.421, 0.750, 0.643)
U (0.579, 0.250, 0.357)
U (0.921, 0.750, 0.857)
Ta (0.077, 0.750, 0.397)
Ta (0.423, 0.250, 0.897)
Ta (0.577, 0.750, 0.103)
Ta (0.923, 0.250, 0.603)
N (0.162, 0.250, 0.755)
N (0.241, 0.750, 0.996)
N (0.259, 0.250, 0.496)
N (0.338, 0.750, 0.255)
N (0.662, 0.250, 0.745)
N (0.741, 0.750, 0.504)
N (0.759, 0.250, 0.004)
N (0.838, 0.750, 0.245)

=====

Theoretical XRD peak list of Ce2Sb4Rh3 for Cu Ka, from the GGA-PBE geometry in the Materials Project.

Largest 10 diffraction maxima, by angle, 15° ≤ 2θ ≤ 90°:
2θ 30.53, I = 51
2θ 33.29, I = 100
2θ 34.83, I = 13
2θ 37.04, I = 37
2θ 39.36, I = 41
2θ 45.98, I = 9
2θ 51.48, I = 14
2θ 55.15, I = 23
2θ 65.96, I = 11
2θ 67.53, I = 12

a b c (Å): 16.253 4.579 10.937
angles (deg): 90.00 90.00 90.00
Fractional positions:
Ce (0.003, 0.250, 0.246)
Ce (0.250, 0.250, 0.084)
Ce (0.250, 0.750, 0.584)
Ce (0.497, 0.750, 0.746)
Ce (0.503, 0.250, 0.254)
Ce (0.750, 0.250, 0.416)
Ce (0.750, 0.750, 0.916)
Ce (0.997, 0.750, 0.754)
Sb (0.068, 0.750, 0.445)
Sb (0.104, 0.750, 0.063)
Sb (0.151, 0.250, 0.771)
Sb (0.210, 0.250, 0.383)
Sb (0.290, 0.750, 0.883)
Sb (0.349, 0.750, 0.271)
Sb (0.396, 0.250, 0.563)
Sb (0.432, 0.250, 0.945)
Sb (0.568, 0.750, 0.055)
Sb (0.604, 0.750, 0.437)
Sb (0.651, 0.250, 0.729)
Sb (0.710, 0.250, 0.117)
Sb (0.790, 0.750, 0.617)
Sb (0.849, 0.750, 0.229)
Sb (0.896, 0.250, 0.937)
Sb (0.932, 0.250, 0.555)
Rh (0.057, 0.250, 0.965)
Rh (0.093, 0.250, 0.553)
Rh (0.183, 0.750, 0.274)
Rh (0.317, 0.250, 0.774)
Rh (0.407, 0.750, 0.053)
Rh (0.443, 0.750, 0.465)
Rh (0.557, 0.250, 0.535)
Rh (0.593, 0.250, 0.947)
Rh (0.683, 0.750, 0.226)
Rh (0.817, 0.250, 0.726)
Rh (0.907, 0.750, 0.447)
Rh (0.943, 0.750, 0.035)

=====

Theoretical XRD peak list of KP4N7 for Cu Ka, from the GGA-PBE geometry in the Materials Project.

Largest 10 diffraction maxima, by angle, 15° ≤ 2θ ≤ 90°:
2θ 19.23, I = 10
2θ 27.06, I = 15
2θ 28.14, I = 29
2θ 28.83, I = 33
2θ 29.88, I = 100
2θ 34.19, I = 26
2θ 36.11, I = 26
2θ 38.26, I = 31
2θ 63.70, I = 12
2θ 76.80, I = 10

a b c (Å): 9.952 12.344 4.705
angles (deg): 90.00 90.00 90.00
Fractional positions:
K (0.151, 0.250, 0.242)
K (0.349, 0.750, 0.742)
K (0.651, 0.250, 0.258)
K (0.849, 0.750, 0.758)
P (0.088, 0.631, 0.210)
P (0.088, 0.869, 0.210)
P (0.157, 0.000, 0.720)
P (0.157, 0.500, 0.720)
P (0.343, 0.000, 0.220)
P (0.343, 0.500, 0.220)
P (0.412, 0.131, 0.710)
P (0.412, 0.369, 0.710)
P (0.588, 0.631, 0.290)
P (0.588, 0.869, 0.290)
P (0.657, 0.000, 0.780)
P (0.657, 0.500, 0.780)
P (0.843, 0.000, 0.280)
P (0.843, 0.500, 0.280)
P (0.912, 0.131, 0.790)
P (0.912, 0.369, 0.790)
N (0.062, 0.103, 0.686)
N (0.062, 0.397, 0.686)
N (0.114, 0.608, 0.878)
N (0.114, 0.892, 0.878)
N (0.132, 0.750, 0.298)
N (0.198, 0.542, 0.380)
N (0.198, 0.958, 0.380)
N (0.302, 0.042, 0.880)
N (0.302, 0.458, 0.880)
N (0.368, 0.250, 0.798)
N (0.386, 0.108, 0.378)
N (0.386, 0.392, 0.378)
N (0.438, 0.603, 0.186)
N (0.438, 0.897, 0.186)
N (0.562, 0.103, 0.814)
N (0.562, 0.397, 0.814)
N (0.614, 0.608, 0.622)
N (0.614, 0.892, 0.622)
N (0.632, 0.750, 0.202)
N (0.698, 0.542, 0.120)
N (0.698, 0.958, 0.120)
N (0.802, 0.042, 0.620)
N (0.802, 0.458, 0.620)
N (0.868, 0.250, 0.702)
N (0.886, 0.108, 0.122)
N (0.886, 0.392, 0.122)
N (0.938, 0.603, 0.314)
N (0.938, 0.897, 0.314)

=====

Theoretical XRD peak list of Sr4CuO2 for Cu Ka, from the GGA-PBE geometry in the Materials Project.

Largest 10 diffraction maxima, by angle, 15° ≤ 2θ ≤ 90°:
2θ 19.32, I = 48
2θ 26.71, I = 100
2θ 31.51, I = 15
2θ 35.44, I = 24
2θ 36.45, I = 25
2θ 38.68, I = 20
2θ 40.68, I = 56
2θ 48.15, I = 19
2θ 50.99, I = 16
2θ 58.49, I = 17

a b c (Å): 10.493 10.493 10.493
angles (deg): 140.08 140.08 57.73
Fractional positions:
Sr (0.230, 0.258, 0.528)
Sr (0.230, 0.702, 0.972)
Sr (0.258, 0.230, 0.028)
Sr (0.298, 0.770, 0.528)
Sr (0.702, 0.230, 0.472)
Sr (0.742, 0.770, 0.972)
Sr (0.770, 0.298, 0.028)
Sr (0.770, 0.742, 0.472)
Cu (0.375, 0.625, 0.750)
Cu (0.625, 0.375, 0.250)
O (0.000, 0.500, 0.500)
O (0.500, 0.000, 0.000)
O (0.500, 0.500, 0.000)
O (0.500, 0.500, 0.500)

=====

Theoretical XRD peak list of MgH12Cl2O6 for Cu Ka, from the GGA-PBE geometry in the Materials Project.

Largest 10 diffraction maxima, by angle, 15° ≤ 2θ ≤ 90°:
2θ 21.58, I = 100
2θ 22.34, I = 20
2θ 24.94, I = 23
2θ 29.79, I = 35
2θ 30.86, I = 66
2θ 32.65, I = 47
2θ 33.74, I = 82
2θ 38.86, I = 33
2θ 40.20, I = 35
2θ 49.04, I = 46

a b c (Å): 6.118 6.118 6.110
angles (deg): 93.17 93.17 71.41
Fractional positions:
Mg (0.000, 0.000, 0.000)
H (0.081, 0.684, 0.317)
H (0.239, 0.239, 0.261)
H (0.271, 0.271, 0.007)
H (0.279, 0.676, 0.720)
H (0.316, 0.919, 0.683)
H (0.324, 0.721, 0.280)
H (0.676, 0.279, 0.720)
H (0.684, 0.081, 0.317)
H (0.721, 0.324, 0.280)
H (0.729, 0.729, 0.993)
H (0.761, 0.761, 0.739)
H (0.919, 0.316, 0.683)
Cl (0.318, 0.318, 0.612)
Cl (0.682, 0.682, 0.388)
O (0.164, 0.751, 0.221)
O (0.200, 0.200, 0.109)
O (0.249, 0.836, 0.779)
O (0.751, 0.164, 0.221)
O (0.800, 0.800, 0.891)
O (0.836, 0.249, 0.779)

=====

Theoretical XRD peak list of Sm4As3 for Cu Ka, from the GGA-PBE geometry in the Materials Project.

Largest 10 diffraction maxima, by angle, 15° ≤ 2θ ≤ 90°:
2θ 24.49, I = 11
2θ 28.35, I = 14
2θ 31.78, I = 100
2θ 37.80, I = 62
2θ 50.19, I = 19
2θ 52.39, I = 32
2θ 64.51, I = 22
2θ 66.40, I = 12
2θ 68.26, I = 14
2θ 79.02, I = 14

a b c (Å): 7.712 7.712 7.712
angles (deg): 109.47 109.47 109.47
Fractional positions:
Sm (0.000, 0.135, 0.500)
Sm (0.000, 0.635, 0.500)
Sm (0.135, 0.500, 0.000)
Sm (0.365, 0.365, 0.365)
Sm (0.500, 0.000, 0.135)
Sm (0.500, 0.000, 0.635)
Sm (0.635, 0.500, 0.000)
Sm (0.865, 0.865, 0.865)
As (0.125, 0.875, 0.250)
As (0.250, 0.125, 0.875)
As (0.375, 0.625, 0.750)
As (0.625, 0.750, 0.375)
As (0.750, 0.375, 0.625)
As (0.875, 0.250, 0.125)

=====

Theoretical XRD peak list of CsAgF3 for Cu Ka, from the GGA-PBE geometry in the Materials Project.

Largest 10 diffraction maxima, by angle, 15° ≤ 2θ ≤ 90°:
2θ 27.29, I = 54
2θ 27.98, I = 100
2θ 38.98, I = 36
2θ 40.98, I = 16
2θ 48.66, I = 42
2θ 49.93, I = 20
2θ 56.30, I = 11
2θ 57.83, I = 21
2θ 77.57, I = 11
2θ 78.55, I = 11

a b c (Å): 6.385 6.385 6.385
angles (deg): 118.43 118.43 92.75
Fractional positions:
Cs (0.250, 0.250, 0.000)
Cs (0.750, 0.750, 0.000)
Ag (0.000, 0.500, 0.500)
Ag (0.500, 0.000, 0.500)
F (0.230, 0.730, 0.959)
F (0.250, 0.750, 0.500)
F (0.270, 0.230, 0.500)
F (0.730, 0.770, 0.500)
F (0.750, 0.250, 0.500)
F (0.770, 0.270, 0.041)